No. 1
Computed XRD peak list of Pr6Bi2Te3P for Cu Kα (λ = 1.5418 Å), from the PBE geometry in Alexandria.
Kinematic intensities with the Lorentz-polarization factor, no thermal factor.

Atomic structure:
Cell lengths 19.818, 4.479, 9.112 Å; angles 90.00, 103.42, 90.00 degrees
Space group C2/m (No. 12)
Symmetry-distinct sites (fractional):
Pr 0.001 0.000 0.283
Pr 0.150 0.500 0.575
Pr 0.165 0.500 0.083
Bi 0.167 0.000 0.833
Te 0.000 0.500 0.000
Te 0.171 0.000 0.338
P 0.000 0.500 0.500

Most intense lines, 10 to 80 degrees two-theta, most intense first:
27.93 deg, rel. 100; 39.79 deg, rel. 72; 27.77 deg, rel. 49; 49.62 deg, rel. 20; 40.27 deg, rel. 19; 39.56 deg, rel. 18; 65.24 deg, rel. 16; 64.98 deg, rel. 14



No. 2
Computed XRD peak list of TbDyCd4 for Cu Kα (λ = 1.5418 Å), from the PBE geometry in Alexandria.
Kinematic intensities with the Lorentz-polarization factor, no thermal factor.

Atomic structure:
Cell lengths 3.429, 8.633, 4.979 Å; angles 90.00, 90.12, 90.00 degrees
Space group P2/m (No. 10)
Symmetry-distinct sites (fractional):
Tb 0.000 0.000 0.000
Dy 0.000 0.500 0.500
Cd 0.500 0.167 0.500
Cd 0.500 0.334 0.000

Most intense lines, 10 to 80 degrees two-theta, most intense first:
33.38 deg, rel. 100; 36.06 deg, rel. 82; 49.95 deg, rel. 32; 63.12 deg, rel. 26; 66.15 deg, rel. 22; 64.83 deg, rel. 14; 76.49 deg, rel. 9; 53.44 deg, rel. 9



No. 3
Computed XRD peak list of UTa2RuC4 for Cu Kα (λ = 1.5418 Å), from the PBE geometry in Alexandria.
Kinematic intensities with the Lorentz-polarization factor, no thermal factor.

Atomic structure:
Cell lengths 3.219, 11.229, 10.966 Å; angles 90.00, 90.00, 90.00 degrees
Space group Cmcm (No. 63)
Symmetry-distinct sites (fractional):
U 0.000 0.111 0.250
Ta 0.000 0.372 0.042
Ru 0.000 0.149 0.750
C 0.000 0.000 0.000
C 0.000 0.272 0.619
C 0.000 0.455 0.250

Most intense lines, 10 to 80 degrees two-theta, most intense first:
33.25 deg, rel. 100; 40.46 deg, rel. 70; 31.88 deg, rel. 59; 29.15 deg, rel. 52; 32.66 deg, rel. 37; 52.41 deg, rel. 27; 46.29 deg, rel. 25; 37.76 deg, rel. 24



No. 4
Computed XRD peak list of NdThPb for Cu Kα (λ = 1.5418 Å), from the PBE geometry in Alexandria.
Kinematic intensities with the Lorentz-polarization factor, no thermal factor.

Atomic structure:
Cell lengths 4.649, 4.649, 18.103 Å; angles 90.00, 90.00, 90.00 degrees
Space group I4/mmm (No. 139)
Symmetry-distinct sites (fractional):
Nd 0.000 0.000 0.175
Th 0.000 0.500 0.000
Pb 0.000 0.000 0.359

Most intense lines, 10 to 80 degrees two-theta, most intense first:
33.70 deg, rel. 100; 28.90 deg, rel. 87; 38.74 deg, rel. 54; 29.61 deg, rel. 38; 49.50 deg, rel. 38; 66.92 deg, rel. 29; 55.94 deg, rel. 19; 64.18 deg, rel. 19



No. 5
Computed XRD peak list of CeMg2P2Rh7 for Cu Kα (λ = 1.5418 Å), from the PBE geometry in Alexandria.
Kinematic intensities with the Lorentz-polarization factor, no thermal factor.

Atomic structure:
Cell lengths 5.672, 5.581, 12.759 Å; angles 90.00, 102.17, 90.00 degrees
Space group C2/m (No. 12)
Symmetry-distinct sites (fractional):
Ce 0.000 0.000 0.000
Mg 0.145 0.000 0.345
P 0.129 0.500 0.269
Rh 0.000 0.500 0.000
Rh 0.161 0.500 0.444
Rh 0.166 0.251 0.824

Most intense lines, 10 to 80 degrees two-theta, most intense first:
45.61 deg, rel. 100; 35.23 deg, rel. 82; 38.87 deg, rel. 73; 38.21 deg, rel. 60; 34.91 deg, rel. 55; 43.53 deg, rel. 42; 36.01 deg, rel. 35; 46.20 deg, rel. 27



No. 6
Computed XRD peak list of DyMgSn for Cu Kα (λ = 1.5418 Å), from the PBE geometry in Alexandria.
Kinematic intensities with the Lorentz-polarization factor, no thermal factor.

Atomic structure:
Cell lengths 3.514, 3.514, 12.507 Å; angles 90.00, 90.00, 90.00 degrees
Space group I4mm (No. 107)
Symmetry-distinct sites (fractional):
Dy 0.000 0.000 0.000
Mg 0.000 0.000 0.318
Sn 0.000 0.000 0.672

Most intense lines, 10 to 80 degrees two-theta, most intense first:
33.35 deg, rel. 100; 36.15 deg, rel. 41; 63.23 deg, rel. 32; 26.34 deg, rel. 30; 14.16 deg, rel. 25; 57.73 deg, rel. 20; 52.05 deg, rel. 14; 43.41 deg, rel. 12



No. 7
Computed XRD peak list of Ac2AlGa10 for Cu Kα (λ = 1.5418 Å), from the PBE geometry in Alexandria.
Kinematic intensities with the Lorentz-polarization factor, no thermal factor.

Atomic structure:
Cell lengths 6.413, 17.326, 5.751 Å; angles 90.00, 90.00, 90.00 degrees
Space group Pbam (No. 55)
Symmetry-distinct sites (fractional):
Ac 0.202 0.086 0.000
Al 0.000 0.500 0.500
Ga 0.030 0.807 0.500
Ga 0.126 0.664 0.500
Ga 0.135 0.956 0.500
Ga 0.175 0.370 0.212

Most intense lines, 10 to 80 degrees two-theta, most intense first:
29.33 deg, rel. 100; 35.76 deg, rel. 86; 34.78 deg, rel. 74; 31.95 deg, rel. 59; 20.50 deg, rel. 57; 23.17 deg, rel. 56; 32.38 deg, rel. 43; 31.10 deg, rel. 34



No. 8
Computed XRD peak list of Nb2Tc for Cu Kα (λ = 1.5418 Å), from the PBE geometry in Alexandria.
Kinematic intensities with the Lorentz-polarization factor, no thermal factor.

Atomic structure:
Cell lengths 9.750, 4.545, 5.580 Å; angles 90.00, 124.89, 90.00 degrees
Space group C2/m (No. 12)
Symmetry-distinct sites (fractional):
Nb 0.009 0.000 0.259
Nb 0.170 0.500 0.086
Tc 0.168 0.500 0.588

Most intense lines, 10 to 80 degrees two-theta, most intense first:
39.18 deg, rel. 100; 39.54 deg, rel. 98; 39.39 deg, rel. 50; 39.66 deg, rel. 49; 57.13 deg, rel. 33; 71.65 deg, rel. 24; 56.62 deg, rel. 16; 71.04 deg, rel. 16